Ba3Ga4Sb5: theoretical X-ray powder pattern (Cu Ka), based on a structure optimized by DFT (PBE).

Most intense lines, 10 to 90 degrees two-theta, by intensity:
d_spacing  2θ/deg  intensity
3.273  27.25  100
3.018  29.60  59
3.371  26.44  56
2.234  40.37  51
3.232  27.60  44
3.390  26.29  30
2.701  33.17  26
2.501  35.91  22
1.796  50.85  22
3.717  23.94  21

Cell and atoms:
Unit cell a=4.4682 b=13.6797 c=25.6739 alpha=90.00 beta=90.00 gamma=90.00
Space group Pmn2_1 (No. 31)
Symmetry-distinct sites (fractional):
Ba 0.0000 0.0493 0.0000
Ba 0.0000 0.1218 0.2174
Ba 0.0000 0.2385 0.6090
Ba 0.0000 0.5942 0.4834
Ba 0.0000 0.6074 0.2747
Ba 0.0000 0.7147 0.8772
Ga 0.0000 0.0272 0.3797
Ga 0.0000 0.1388 0.7783
Ga 0.0000 0.2417 0.8633
Ga 0.0000 0.3496 0.4680
Ga 0.0000 0.4832 0.1073
Ga 0.0000 0.6500 0.7193
Ga 0.0000 0.7483 0.6340
Ga 0.0000 0.9361 0.1200
Sb 0.0000 0.1442 0.4667
Sb 0.0000 0.2913 0.0764
Sb 0.0000 0.3513 0.2789
Sb 0.0000 0.4369 0.8784
Sb 0.0000 0.4781 0.6664
Sb 0.0000 0.6234 0.0313
Sb 0.0000 0.8331 0.4119
Sb 0.0000 0.8430 0.2164
Sb 0.0000 0.9477 0.6096
Sb 0.0000 0.9535 0.8177